(1)
This entry pairs a crystal structure of CaZn3Ni2 with its calculated powder diffraction line list. Radiation: copper Kα. Structure: a structure optimized by DFT (PBE).
No peak broadening, texture or thermal motion is included.

Largest 10 diffraction maxima, in order of rising 2θ, 2θ from 10° to 80°:
h k l  2θ (°)  d/Å  intensity
1 1 0  14.4  6.153  50
2 0 0  18.7  4.737  47
2 2 1  33.9  2.644  30
1 3 0  34.6  2.594  26
3 1 1  35.1  2.557  59
4 0 0  38.0  2.369  31
0 2 2  41.5  2.178  45
0 4 0  44.8  2.023  26
2 2 2  45.9  1.979  100
3 3 1  47.7  1.906  30

Crystal structure
```
data_CaZn3Ni2
_chemical_formula_sum 'Ca4 Zn12 Ni8'
_symmetry_space_group_name_H-M 'C m c m'
_symmetry_Int_Tables_number 63
_symmetry_space_group_name_Hall '-C 2c 2'
_cell_length_a 9.475
_cell_length_b 8.092
_cell_length_c 5.168
_cell_angle_alpha 90.00
_cell_angle_beta 90.00
_cell_angle_gamma 90.00
loop_
_atom_site_label
_atom_site_type_symbol
_atom_site_fract_x
_atom_site_fract_y
_atom_site_fract_z
Ca1 Ca 0.000 0.155 0.250
Zn1 Zn 0.000 0.460 0.750
Zn2 Zn 0.193 0.233 0.750
Ni1 Ni 0.221 0.500 0.000
```



(2)
This entry pairs a crystal structure of NdHo4Co with its calculated powder diffraction line list. Radiation: copper Kα. Structure: a structure optimized by DFT (PBE).
No peak broadening, texture or thermal motion is included.

Largest 10 diffraction maxima, in order of rising 2θ, 2θ from 10° to 80°:
h k l  2θ (°)  d/Å  intensity
1 0 1  21.6  4.117  37
1 1 0  27.2  3.278  47
1 1 1  29.0  3.078  55
0 0 3  29.9  2.986  48
1 1 2  33.9  2.645  100
2 0 0  38.9  2.318  68
1 1 3  40.9  2.207  50
2 0 3  49.8  1.831  48
2 2 0  56.1  1.639  23
3 1 2  67.2  1.393  27

Crystal structure
```
data_NdHo4Co
_chemical_formula_sum 'Nd1 Ho4 Co1'
_symmetry_space_group_name_H-M 'P 4/m m m'
_symmetry_Int_Tables_number 123
_symmetry_space_group_name_Hall '-P 4 2'
_cell_length_a 4.636
_cell_length_b 4.636
_cell_length_c 8.957
_cell_angle_alpha 90.00
_cell_angle_beta 90.00
_cell_angle_gamma 90.00
loop_
_atom_site_label
_atom_site_type_symbol
_atom_site_fract_x
_atom_site_fract_y
_atom_site_fract_z
Nd1 Nd 0.000 0.000 0.000
Ho1 Ho 0.000 0.500 0.322
Co1 Co 0.500 0.500 0.500
```



(3)
This entry pairs a crystal structure of Dy3HgHS with its calculated powder diffraction line list. Radiation: copper Kα. Structure: a structure optimized by DFT (PBE).
No peak broadening, texture or thermal motion is included.

Largest 10 diffraction maxima, in order of rising 2θ, 2θ from 10° to 80°:
h k l  2θ (°)  d/Å  intensity
1 1 1  28.3  3.154  23
0 1 2  31.0  2.889  26
1 0 -3  31.3  2.857  27
0 0 3  31.9  2.804  23
2 1 -1  32.1  2.790  100
3 0 0  34.2  2.619  17
1 1 2  34.7  2.584  20
2 1 2  41.6  2.172  24
0 2 0  45.7  1.987  22
0 1 5  59.7  1.549  16

Crystal structure
```
data_Dy3HgHS
_chemical_formula_sum 'Dy6 Hg2 H2 S2'
_symmetry_space_group_name_H-M 'P 1 21/m 1'
_symmetry_Int_Tables_number 11
_cell_length_a 8.066
_cell_length_b 3.974
_cell_length_c 8.636
_cell_angle_alpha 90.00
_cell_angle_beta 103.10
_cell_angle_gamma 90.00
loop_
_symmetry_equiv_pos_as_xyz
'x,y,z'
'-x,-y,-z'
'-x,y+1/2,-z'
'x,-y+1/2,z'
loop_
_atom_site_label
_atom_site_type_symbol
_atom_site_fract_x
_atom_site_fract_y
_atom_site_fract_z
Dy1 Dy 0.068 0.250 0.328
Dy2 Dy 0.310 0.250 0.974
Dy3 Dy 0.392 0.750 0.636
Hg1 Hg 0.317 0.750 0.246
H1 H 0.411 0.750 0.902
S1 S 0.160 0.250 0.652
```



(4)
This entry pairs a crystal structure of TbPrTmIn with its calculated powder diffraction line list. Radiation: copper Kα. Structure: a structure optimized by DFT (PBE).
No peak broadening, texture or thermal motion is included.

Largest 8 diffraction maxima, in order of rising 2θ, 2θ from 10° to 80°:
h k l  2θ (°)  d/Å  intensity
1 1 1  19.7  4.498  2
2 2 0  32.5  2.754  100
3 1 1  38.3  2.349  1
4 0 0  46.6  1.948  18
3 3 1  51.1  1.787  1
4 2 2  58.0  1.590  38
4 4 0  68.1  1.377  12
6 2 0  77.5  1.232  16

Crystal structure
```
data_TbPrTmIn
_chemical_formula_sum 'Tb4 Pr4 Tm4 In4'
_symmetry_space_group_name_H-M 'F -4 3 m'
_symmetry_Int_Tables_number 216
_symmetry_space_group_name_Hall 'F -4 2 3'
_cell_length_a 7.790
_cell_length_b 7.790
_cell_length_c 7.790
_cell_angle_alpha 90.00
_cell_angle_beta 90.00
_cell_angle_gamma 90.00
loop_
_atom_site_label
_atom_site_type_symbol
_atom_site_fract_x
_atom_site_fract_y
_atom_site_fract_z
Tb1 Tb 0.000 0.000 0.000
Pr1 Pr 0.000 0.000 0.500
Tm1 Tm 0.250 0.250 0.750
In1 In 0.250 0.250 0.250
```



(5)
This entry pairs a crystal structure of Zr2UIn with its calculated powder diffraction line list. Radiation: copper Kα. Structure: a structure optimized by DFT (PBE).
No peak broadening, texture or thermal motion is included.

Largest 10 diffraction maxima, in order of rising 2θ, 2θ from 10° to 80°:
h k l  2θ (°)  d/Å  intensity
1 0 0  18.8  4.733  9
1 1 0  26.6  3.346  8
1 1 1  34.8  2.577  100
2 0 0  38.0  2.366  39
0 0 2  44.9  2.020  12
2 2 0  54.9  1.673  13
2 0 2  60.2  1.536  20
3 1 1  66.6  1.403  30
2 2 2  73.5  1.289  11
1 1 3  76.2  1.249  11

Crystal structure
```
data_Zr2UIn
_chemical_formula_sum 'Zr2 U1 In1'
_symmetry_space_group_name_H-M 'P 4/m m m'
_symmetry_Int_Tables_number 123
_symmetry_space_group_name_Hall '-P 4 2'
_cell_length_a 4.733
_cell_length_b 4.733
_cell_length_c 4.040
_cell_angle_alpha 90.00
_cell_angle_beta 90.00
_cell_angle_gamma 90.00
loop_
_atom_site_label
_atom_site_type_symbol
_atom_site_fract_x
_atom_site_fract_y
_atom_site_fract_z
Zr1 Zr 0.000 0.500 0.000
U1 U 0.000 0.000 0.500
In1 In 0.500 0.500 0.500
```



(6)
This entry pairs a crystal structure of TbPr3Zn3 with its calculated powder diffraction line list. Radiation: copper Kα. Structure: a structure optimized by DFT (PBE).
No peak broadening, texture or thermal motion is included.

Largest 10 diffraction maxima, in order of rising 2θ, 2θ from 10° to 80°:
h k l  2θ (°)  d/Å  intensity
2 2 0  24.3  3.659  27
0 0 2  24.6  3.616  13
0 4 0  34.1  2.627  26
2 2 2  34.9  2.572  100
4 0 0  35.2  2.550  24
4 4 0  49.8  1.829  18
2 6 2  61.6  1.506  18
0 4 4  62.3  1.489  9
4 0 4  63.0  1.476  26
4 4 4  73.7  1.286  11

Crystal structure
```
data_TbPr3Zn3
_chemical_formula_sum 'Tb4 Pr12 Zn12'
_symmetry_space_group_name_H-M 'C m m m'
_symmetry_Int_Tables_number 65
_symmetry_space_group_name_Hall '-C 2 2'
_cell_length_a 10.198
_cell_length_b 10.506
_cell_length_c 7.233
_cell_angle_alpha 90.00
_cell_angle_beta 90.00
_cell_angle_gamma 90.00
loop_
_atom_site_label
_atom_site_type_symbol
_atom_site_fract_x
_atom_site_fract_y
_atom_site_fract_z
Tb1 Tb 0.000 0.241 0.000
Pr1 Pr 0.000 0.244 0.500
Pr2 Pr 0.241 0.500 0.000
Pr3 Pr 0.243 0.500 0.500
Zn1 Zn 0.000 0.000 0.244
Zn2 Zn 0.250 0.250 0.242
```